(1)
Simulated X-ray diffraction stick pattern of Ba2LuCu3O7 for Cu Kα X-rays, from a crystal structure in the Materials Project, relaxed with GGA-PBE.

Top 10 peaks for 10 to 90 degrees two-theta, low angle first:
(0 1 3), 32.3°, I = 91; (1 0 3), 32.7°, I = 100; (1 1 0), 32.8°, I = 96; (1 1 3), 40.2°, I = 31; (0 0 6), 46.1°, I = 17; (0 2 0), 46.6°, I = 28; (2 0 0), 47.6°, I = 27; (1 1 6), 57.8°, I = 35; (1 2 3), 58.1°, I = 38; (2 1 3), 58.7°, I = 33

```
13
Lattice="3.819 0.000 0.000 0.000 3.898 0.000 0.000 0.000 11.802" Properties=species:S:1:pos:R:3 pbc="T T T"
Ba 0.000 0.000 2.150
Ba 0.000 0.000 9.652
Lu 0.000 0.000 5.901
Cu 1.909 1.949 0.000
Cu 1.909 1.949 4.227
Cu 1.909 1.949 7.574
O 0.000 1.949 4.534
O 0.000 1.949 7.268
O 1.909 0.000 0.000
O 1.909 0.000 4.527
O 1.909 0.000 7.274
O 1.909 1.949 1.888
O 1.909 1.949 9.914
```

=====

(2)
Simulated X-ray diffraction stick pattern of Ba4PrLuCu6O14 for Cu Kα X-rays, from a crystal structure in the Materials Project, relaxed with GGA-PBE.

Top 10 peaks for 10 to 90 degrees two-theta, low angle first:
(0 1 6), 32.0°, I = 91; (1 0 6), 32.4°, I = 100; (1 1 0), 32.5°, I = 94; (1 1 6), 39.9°, I = 29; (0 0 12), 45.8°, I = 19; (0 2 0), 46.1°, I = 28; (2 0 0), 47.2°, I = 26; (1 1 12), 57.3°, I = 35; (1 2 6), 57.5°, I = 38; (2 1 6), 58.2°, I = 33

```
26
Lattice="3.853 0.000 0.000 0.000 3.937 0.000 0.000 0.000 23.775" Properties=species:S:1:pos:R:3 pbc="T T T"
Ba 0.000 0.000 3.761
Ba 0.000 0.000 8.052
Ba 0.000 0.000 15.723
Ba 0.000 0.000 20.014
Pr 0.000 0.000 11.888
Lu 0.000 0.000 0.000
Cu 1.927 1.969 1.685
Cu 1.927 1.969 5.912
Cu 1.927 1.969 10.043
Cu 1.927 1.969 13.732
Cu 1.927 1.969 17.863
Cu 1.927 1.969 22.090
O 0.000 1.969 1.366
O 0.000 1.969 10.341
O 0.000 1.969 13.434
O 0.000 1.969 22.409
O 1.927 0.000 1.376
O 1.927 0.000 5.902
O 1.927 0.000 10.324
O 1.927 0.000 13.451
O 1.927 0.000 17.873
O 1.927 0.000 22.399
O 1.927 1.969 4.028
O 1.927 1.969 7.789
O 1.927 1.969 15.986
O 1.927 1.969 19.747
```

=====

(3)
Simulated X-ray diffraction stick pattern of Ba2Lu2CuPtO8 for Cu Kα X-rays, from a crystal structure in the Materials Project, relaxed with GGA-PBE.

Top 10 peaks for 10 to 90 degrees two-theta, low angle first:
(1 1 1), 19.0°, I = 23; (2 1 2), 26.9°, I = 30; (0 1 3), 30.3°, I = 22; (1 1 3), 31.1°, I = 99; (4 1 0), 31.2°, I = 100; (0 2 0), 31.5°, I = 70; (4 1 1), 32.4°, I = 27; (3 0 3), 32.9°, I = 23; (3 2 3), 46.2°, I = 30; (4 3 0), 55.9°, I = 40

```
56
Lattice="13.275 0.000 0.000 0.000 5.676 0.000 0.000 0.000 10.345" Properties=species:S:1:pos:R:3 pbc="T T T"
Ba 1.025 1.419 0.963
Ba 2.749 4.257 3.261
Ba 3.888 1.419 8.433
Ba 5.612 4.257 6.136
Ba 7.662 1.419 4.209
Ba 9.386 4.257 1.912
Ba 10.525 1.419 7.084
Ba 12.249 4.257 9.382
Lu 1.092 1.419 5.042
Lu 1.867 4.257 7.110
Lu 4.770 1.419 1.938
Lu 5.545 4.257 10.215
Lu 7.729 1.419 0.130
Lu 8.504 4.257 8.407
Lu 11.407 1.419 3.235
Lu 12.182 4.257 5.303
Cu 0.522 1.419 7.921
Cu 6.116 4.257 2.748
Cu 7.159 1.419 7.597
Cu 12.753 4.257 2.424
Pt 2.590 4.257 10.015
Pt 4.047 1.419 4.842
Pt 9.227 4.257 5.503
Pt 10.684 1.419 0.331
O 0.118 0.015 6.550
O 0.118 2.823 6.550
O 1.174 4.257 1.134
O 1.514 2.903 8.880
O 1.514 5.612 8.880
O 2.687 1.419 3.253
O 2.825 0.052 5.769
O 2.825 2.786 5.769
O 3.813 2.890 0.596
O 3.813 5.624 0.596
O 3.950 4.257 8.425
O 5.123 0.065 3.707
O 5.123 2.774 3.707
O 5.464 1.419 6.307
O 6.520 2.854 1.377
O 6.520 5.661 1.377
O 6.755 0.015 8.968
O 6.755 2.823 8.968
O 7.811 4.257 4.038
O 8.151 2.903 6.638
O 8.151 5.612 6.638
O 9.324 1.419 1.920
O 9.462 0.052 9.749
O 9.462 2.786 9.749
O 10.450 2.890 4.576
O 10.450 5.624 4.576
O 10.588 4.257 7.092
O 11.761 0.065 1.465
O 11.761 2.774 1.465
O 12.101 1.419 9.211
O 13.157 2.854 3.796
O 13.157 5.661 3.796
```